Diffraction record for Li5Cd5In2. The powder X-ray diffraction pattern is calculated, not measured: it uses a crystal structure in Alexandria, relaxed with GGA-PBE and Cu Ka.
Lines closer than 0.1° are merged.

Atomic structure:
```
Li5Cd5In2
1.0
4.4820 0.0000 0.0000
-2.2282 6.0994 0.0000
-2.2375 -1.8319 8.7896
Li Cd In
5 5 2
direct
0.0000 0.0000 0.0000 Li
0.3322 0.1697 0.4973 Li
0.3380 0.4247 0.2523 Li
0.6620 0.5753 0.7477 Li
0.6678 0.8303 0.5027 Li
0.0000 0.5000 0.5000 Cd
0.0068 0.7613 0.2578 Cd
0.3264 0.6600 0.9948 Cd
0.6736 0.3400 0.0052 Cd
0.9932 0.2387 0.7422 Cd
0.3342 0.9160 0.7496 In
0.6658 0.0840 0.2504 In
```

Top 12 peaks for 2θ = 10–80°, by angle:
| 2theta | d_spacing | I/Imax |
| --- | --- | --- |
| 10.1 | 8.790 | 13.6 |
| 21.4 | 4.149 | 91.2 |
| 22.5 | 3.944 | 39.0 |
| 27.5 | 3.238 | 32.5 |
| 35.9 | 2.504 | 100.0 |
| 36.5 | 2.465 | 96.7 |
| 40.2 | 2.241 | 36.5 |
| 41.1 | 2.197 | 33.9 |
| 42.3 | 2.139 | 19.6 |
| 44.6 | 2.033 | 26.8 |
| 58.9 | 1.569 | 22.8 |
| 70.7 | 1.333 | 13.1 |

Diffraction record for Li6Cd2In. The powder X-ray diffraction pattern is calculated, not measured: it uses a crystal structure in Alexandria, relaxed with GGA-PBE and Cu Ka.
Lines closer than 0.1° are merged.

Atomic structure:
```
Li6Cd2In
1.0
4.0405 2.3328 2.8882
-4.0405 2.3328 2.8882
0.0000 -4.6656 2.8882
Li Cd In
6 2 1
direct
0.0000 0.3339 0.6661 Li
0.0000 0.6661 0.3339 Li
0.3339 0.0000 0.6661 Li
0.3339 0.6661 0.0000 Li
0.6661 0.0000 0.3339 Li
0.6661 0.3339 0.0000 Li
0.1651 0.1651 0.1651 Cd
0.8349 0.8349 0.8349 Cd
0.5000 0.5000 0.5000 In
```

Top 12 peaks for 2θ = 10–80°, by angle:
| 2theta | d_spacing | I/Imax |
| --- | --- | --- |
| 22.0 | 4.041 | 100.0 |
| 31.0 | 2.888 | 12.9 |
| 38.3 | 2.350 | 56.6 |
| 38.6 | 2.333 | 30.1 |
| 44.9 | 2.020 | 14.9 |
| 50.3 | 1.815 | 19.1 |
| 55.5 | 1.655 | 18.5 |
| 60.6 | 1.527 | 11.7 |
| 69.1 | 1.360 | 7.8 |
| 69.6 | 1.350 | 18.3 |
| 77.8 | 1.228 | 7.2 |
| 78.3 | 1.221 | 5.0 |